No. 1
LaMgB12: computed X-ray powder pattern (Cu Kα X-rays), based on a DFT-relaxed cell (PBE, Alexandria).
Lines closer than 0.1° are merged.

Structure:
```
data_LaMgB12
_chemical_formula_sum 'La1 Mg1 B12'
_cell_length_a 4.132
_cell_length_b 4.132
_cell_length_c 8.280
_cell_angle_alpha 90.00
_cell_angle_beta 90.00
_cell_angle_gamma 90.00
_symmetry_space_group_name_H-M 'P 1'
_symmetry_Int_Tables_number 1
loop_
_symmetry_equiv_pos_as_xyz
'x,y,z'
loop_
_atom_site_label
_atom_site_type_symbol
_atom_site_fract_x
_atom_site_fract_y
_atom_site_fract_z
_atom_site_occupancy
La1 La 0.000 0.000 0.000 1
Mg1 Mg 0.000 0.000 0.500 1
B1 B 0.200 0.500 0.252 1
B2 B 0.200 0.500 0.748 1
B3 B 0.500 0.200 0.252 1
B4 B 0.500 0.200 0.748 1
B5 B 0.500 0.500 0.101 1
B6 B 0.500 0.500 0.401 1
B7 B 0.500 0.500 0.599 1
B8 B 0.500 0.500 0.899 1
B9 B 0.500 0.800 0.252 1
B10 B 0.500 0.800 0.748 1
B11 B 0.800 0.500 0.252 1
B12 B 0.800 0.500 0.748 1
```

Principal peaks in the range 2θ = 15–90°, by intensity:
two_theta  I_rel
30.58  100
24.07  49
49.28  47
37.68  45
21.49  36
32.49  28
43.79  23
68.01  20
54.35  19
45.22  18

No. 2
NaEu3Hg: computed X-ray powder pattern (Cu Kα X-rays), based on a DFT-relaxed cell (PBE, Alexandria).
Lines closer than 0.1° are merged.

Structure:
```
data_NaEu3Hg
_chemical_formula_sum 'Na1 Eu3 Hg1'
_cell_length_a 6.174
_cell_length_b 6.174
_cell_length_c 6.174
_cell_angle_alpha 90.00
_cell_angle_beta 90.00
_cell_angle_gamma 90.00
_symmetry_space_group_name_H-M 'P 1'
_symmetry_Int_Tables_number 1
loop_
_symmetry_equiv_pos_as_xyz
'x,y,z'
loop_
_atom_site_label
_atom_site_type_symbol
_atom_site_fract_x
_atom_site_fract_y
_atom_site_fract_z
_atom_site_occupancy
Na1 Na 0.000 0.000 0.000 1
Eu1 Eu 0.000 0.500 0.500 1
Eu2 Eu 0.500 0.000 0.500 1
Eu3 Eu 0.500 0.500 0.000 1
Hg1 Hg 0.500 0.500 0.500 1
```

Principal peaks in the range 2θ = 15–90°, by intensity:
two_theta  I_rel
28.93  100
41.37  77
32.43  69
44.00  38
67.90  35
24.98  33
51.26  27
75.43  26
61.98  22
53.52  17

No. 3
Sr2Tl7In2Pb: computed X-ray powder pattern (Cu Kα X-rays), based on a DFT-relaxed cell (PBE, Alexandria).
Lines closer than 0.1° are merged.

Structure:
```
data_Sr2Tl7In2Pb
_chemical_formula_sum 'Sr2 Tl7 In2 Pb1'
_cell_length_a 4.859
_cell_length_b 4.859
_cell_length_c 16.530
_cell_angle_alpha 94.74
_cell_angle_beta 94.74
_cell_angle_gamma 89.47
_symmetry_space_group_name_H-M 'P 1'
_symmetry_Int_Tables_number 1
loop_
_symmetry_equiv_pos_as_xyz
'x,y,z'
loop_
_atom_site_label
_atom_site_type_symbol
_atom_site_fract_x
_atom_site_fract_y
_atom_site_fract_z
_atom_site_occupancy
Sr1 Sr 0.097 0.097 0.332 1
Sr2 Sr 0.903 0.903 0.668 1
Tl1 Tl 0.045 0.545 0.156 1
Tl2 Tl 0.292 0.292 0.534 1
Tl3 Tl 0.455 0.955 0.844 1
Tl4 Tl 0.500 0.500 0.000 1
Tl5 Tl 0.545 0.045 0.156 1
Tl6 Tl 0.708 0.708 0.466 1
Tl7 Tl 0.955 0.455 0.844 1
In1 In 0.417 0.417 0.717 1
In2 In 0.583 0.583 0.283 1
Pb1 Pb 0.000 0.000 0.000 1
```

Principal peaks in the range 2θ = 15–90°, by intensity:
two_theta  I_rel
37.10  100
30.83  56
34.13  52
32.39  45
29.09  41
32.73  31
28.27  29
52.01  26
32.01  24
52.48  21

No. 4
RbLa2Ce2O7: computed X-ray powder pattern (Cu Kα X-rays), based on a DFT-relaxed cell (PBE, Alexandria).
Lines closer than 0.1° are merged.

Structure:
```
data_RbLa2Ce2O7
_chemical_formula_sum 'Rb1 La2 Ce2 O7'
_cell_length_a 10.481
_cell_length_b 10.481
_cell_length_c 5.042
_cell_angle_alpha 103.91
_cell_angle_beta 103.91
_cell_angle_gamma 25.82
_symmetry_space_group_name_H-M 'P 1'
_symmetry_Int_Tables_number 1
loop_
_symmetry_equiv_pos_as_xyz
'x,y,z'
loop_
_atom_site_label
_atom_site_type_symbol
_atom_site_fract_x
_atom_site_fract_y
_atom_site_fract_z
_atom_site_occupancy
Rb1 Rb 0.000 0.000 0.000 1
La1 La 0.257 0.257 0.725 1
La2 La 0.743 0.743 0.211 1
Ce1 Ce 0.391 0.391 0.374 1
Ce2 Ce 0.608 0.608 0.591 1
O1 O 0.134 0.134 0.580 1
O2 O 0.270 0.270 0.236 1
O3 O 0.374 0.374 0.787 1
O4 O 0.500 0.500 0.437 1
O5 O 0.626 0.626 0.039 1
O6 O 0.730 0.730 0.696 1
O7 O 0.865 0.865 0.311 1
```

Principal peaks in the range 2θ = 15–90°, by intensity:
two_theta  I_rel
27.51  100
53.42  59
31.73  45
35.61  42
28.66  39
38.45  36
36.29  29
23.29  28
19.48  20
59.14  19